[1]
Computed PXRD pattern
Compound: Co5Os3
Radiation: λ = 1.5418 Å (Cu Kα)
Structure: a DFT-relaxed cell (PBE, Alexandria)

Structure:
```
Co5Os3
1.0
2.226 -6.360 0.000
2.226 6.360 0.000
-1.213 0.000 7.087
Co Os
10 6
Direct
0.000 0.000 0.000 Co
0.081 0.284 0.724 Co
0.244 0.447 0.360 Co
0.284 0.081 0.724 Co
0.447 0.244 0.360 Co
0.524 0.524 0.080 Co
0.553 0.860 0.870 Co
0.669 0.972 0.209 Co
0.860 0.553 0.870 Co
0.972 0.669 0.209 Co
0.086 0.442 0.042 Os
0.442 0.086 0.042 Os
0.561 0.977 0.539 Os
0.636 0.636 0.676 Os
0.891 0.891 0.407 Os
0.977 0.561 0.539 Os
```

Largest 12 diffraction maxima, most intense first, 2θ = 5–70°:
| 2θ (°) | I/Imax |
| --- | --- |
| 44.1 | 100 |
| 45.7 | 94 |
| 47.1 | 75 |
| 51.6 | 54 |
| 28.8 | 54 |
| 30.5 | 53 |
| 26.6 | 46 |
| 40.8 | 42 |
| 41.0 | 42 |
| 25.1 | 41 |
| 41.1 | 38 |
| 43.6 | 38 |

[2]
Computed PXRD pattern
Compound: CoOs4
Radiation: λ = 1.5418 Å (Cu Kα)
Structure: a DFT-relaxed cell (PBE, Alexandria)

Structure:
```
CoOs4
1.0
-3.002 3.002 1.895
3.002 -3.002 1.895
3.002 3.002 -1.895
Co Os
1 4
Direct
0.000 0.000 0.000 Co
0.205 0.406 0.611 Os
0.406 0.795 0.202 Os
0.594 0.205 0.798 Os
0.795 0.594 0.389 Os
```

Largest 12 diffraction maxima, most intense first, 2θ = 5–70°:
| 2θ (°) | I/Imax |
| --- | --- |
| 41.2 | 100 |
| 47.9 | 50 |
| 27.8 | 9 |
| 20.9 | 5 |
| 42.6 | 2 |
| 29.8 | 2 |
| 51.6 | 2 |
| 69.1 | 2 |
| 66.1 | 1 |
| 60.7 | 1 |
| 52.9 | 1 |
| 57.5 | 1 |

[3]
Computed PXRD pattern
Compound: Co5Os
Radiation: λ = 1.5418 Å (Cu Kα)
Structure: a DFT-relaxed cell (PBE, Alexandria)

Structure:
```
Co5Os
1.0
4.619 -1.286 0.000
4.619 1.286 0.000
-1.509 0.000 5.797
Co Os
5 1
Direct
0.000 0.000 0.000 Co
0.053 0.053 0.601 Co
0.336 0.336 0.659 Co
0.393 0.393 0.279 Co
0.669 0.669 0.335 Co
0.722 0.722 0.941 Os
```

Largest 12 diffraction maxima, most intense first, 2θ = 5–70°:
| 2θ (°) | I/Imax |
| --- | --- |
| 46.6 | 100 |
| 47.1 | 47 |
| 44.5 | 37 |
| 15.3 | 29 |
| 40.7 | 28 |
| 19.9 | 17 |
| 61.9 | 16 |
| 41.2 | 15 |
| 21.8 | 15 |
| 28.1 | 9 |
| 36.3 | 9 |
| 30.9 | 8 |

[4]
Computed PXRD pattern
Compound: Co3Os
Radiation: λ = 1.5418 Å (Cu Kα)
Structure: a DFT-relaxed cell (PBE, Alexandria)

Structure:
```
Co3Os
1.0
4.097 0.000 0.000
0.000 5.082 0.000
0.000 0.000 4.388
Co Os
6 2
Direct
0.250 0.000 0.165 Co
0.250 0.250 0.666 Co
0.250 0.500 0.165 Co
0.750 0.000 0.835 Co
0.750 0.500 0.835 Co
0.750 0.750 0.334 Co
0.250 0.750 0.668 Os
0.750 0.250 0.332 Os
```

Largest 12 diffraction maxima, most intense first, 2θ = 5–70°:
| 2θ (°) | I/Imax |
| --- | --- |
| 46.9 | 100 |
| 44.2 | 27 |
| 41.1 | 25 |
| 28.0 | 20 |
| 26.8 | 17 |
| 61.9 | 14 |
| 29.8 | 13 |
| 52.5 | 6 |
| 35.3 | 6 |
| 34.8 | 5 |
| 20.2 | 5 |
| 45.0 | 4 |

[5]
Computed PXRD pattern
Compound: CoPOsS
Radiation: λ = 1.5418 Å (Cu Kα)
Structure: a DFT-relaxed cell (PBE, Alexandria)

Structure:
```
CoPOsS
1.0
3.704 0.000 0.000
1.491 3.596 0.000
0.825 -0.315 4.457
Co P Os S
1 1 1 1
Direct
0.000 0.000 0.000 Co
0.007 0.192 0.476 P
0.639 0.844 0.547 Os
0.643 0.648 0.037 S
```

Largest 12 diffraction maxima, most intense first, 2θ = 5–70°:
| 2θ (°) | I/Imax |
| --- | --- |
| 24.8 | 100 |
| 26.6 | 54 |
| 40.5 | 50 |
| 19.9 | 50 |
| 32.9 | 49 |
| 37.0 | 42 |
| 30.1 | 37 |
| 43.5 | 32 |
| 28.5 | 32 |
| 51.1 | 25 |
| 36.5 | 25 |
| 44.2 | 25 |

[6]
Computed PXRD pattern
Compound: PaCoOs
Radiation: λ = 1.5418 Å (Cu Kα)
Structure: a DFT-relaxed cell (PBE, Alexandria)

Structure:
```
PaCoOs
1.0
-2.515 2.637 3.712
2.515 -2.637 3.712
2.515 2.637 -3.712
Pa Co Os
2 2 2
Direct
0.376 0.126 0.250 Pa
0.624 0.874 0.750 Pa
0.000 0.000 0.500 Co
0.000 0.500 0.000 Co
0.000 0.500 0.500 Os
0.500 0.500 0.000 Os
```

Largest 12 diffraction maxima, most intense first, 2θ = 5–70°:
| 2θ (°) | I/Imax |
| --- | --- |
| 40.5 | 100 |
| 34.5 | 66 |
| 40.6 | 50 |
| 41.6 | 38 |
| 35.7 | 36 |
| 67.4 | 34 |
| 42.0 | 24 |
| 20.7 | 21 |
| 43.5 | 21 |
| 40.3 | 20 |
| 61.0 | 16 |
| 61.2 | 13 |

[7]
Computed PXRD pattern
Compound: Co2OsPb
Radiation: λ = 1.5418 Å (Cu Kα)
Structure: a DFT-relaxed cell (PBE, Alexandria)

Structure:
```
Co2OsPb
1.0
-2.019 2.019 3.563
2.019 -2.019 3.563
2.019 2.019 -3.563
Co Os Pb
2 1 1
Direct
0.250 0.750 0.500 Co
0.750 0.250 0.500 Co
0.000 0.000 0.000 Os
0.500 0.500 0.000 Pb
```

Largest 8 diffraction maxima, most intense first, 2θ = 5–70°:
| 2θ (°) | I/Imax |
| --- | --- |
| 40.5 | 100 |
| 44.9 | 37 |
| 31.3 | 26 |
| 25.0 | 23 |
| 52.1 | 14 |
| 51.3 | 13 |
| 65.4 | 12 |
| 61.3 | 9 |

[8]
Computed PXRD pattern
Compound: Co2OsPb
Radiation: λ = 1.5418 Å (Cu Kα)
Structure: a DFT-relaxed cell (PBE, Alexandria)

Structure:
```
Co2OsPb
1.0
4.146 -1.508 0.000
4.146 1.508 0.000
-0.900 0.000 5.054
Co Os Pb
2 1 1
Direct
0.236 0.236 0.181 Co
0.764 0.764 0.819 Co
0.500 0.500 0.000 Os
0.000 0.000 0.500 Pb
```

Largest 12 diffraction maxima, most intense first, 2θ = 5–70°:
| 2θ (°) | I/Imax |
| --- | --- |
| 37.4 | 100 |
| 46.2 | 58 |
| 21.8 | 55 |
| 38.5 | 44 |
| 35.4 | 35 |
| 44.4 | 32 |
| 45.4 | 24 |
| 35.5 | 22 |
| 62.4 | 19 |
| 50.8 | 15 |
| 61.5 | 12 |
| 66.3 | 11 |

[9]
Computed PXRD pattern
Compound: Pm2Co2Os
Radiation: λ = 1.5418 Å (Cu Kα)
Structure: a DFT-relaxed cell (PBE, Alexandria)

Structure:
```
Pm2Co2Os
1.0
4.563 -2.773 0.000
4.563 2.773 0.000
-1.699 0.000 7.685
Pm Co Os
4 4 2
Direct
0.041 0.264 0.154 Pm
0.264 0.041 0.654 Pm
0.736 0.959 0.346 Pm
0.959 0.736 0.846 Pm
0.269 0.500 0.499 Co
0.500 0.269 0.999 Co
0.500 0.731 0.001 Co
0.731 0.500 0.501 Co
0.381 0.619 0.250 Os
0.619 0.381 0.750 Os
```

Largest 12 diffraction maxima, most intense first, 2θ = 5–70°:
| 2θ (°) | I/Imax |
| --- | --- |
| 34.4 | 100 |
| 34.0 | 76 |
| 38.0 | 53 |
| 34.2 | 51 |
| 41.4 | 48 |
| 37.7 | 44 |
| 38.4 | 41 |
| 56.0 | 41 |
| 49.1 | 37 |
| 28.3 | 33 |
| 42.3 | 25 |
| 59.0 | 24 |

[10]
Computed PXRD pattern
Compound: CoOsPt
Radiation: λ = 1.5418 Å (Cu Kα)
Structure: a DFT-relaxed cell (PBE, Alexandria)

Structure:
```
CoOsPt
1.0
-1.347 1.347 5.599
1.347 -1.347 5.599
1.347 1.347 -5.599
Co Os Pt
1 1 1
Direct
0.000 0.000 0.000 Co
0.647 0.647 0.000 Os
0.328 0.328 0.000 Pt
```

Largest 11 diffraction maxima, most intense first, 2θ = 5–70°:
| 2θ (°) | I/Imax |
| --- | --- |
| 41.3 | 100 |
| 47.7 | 34 |
| 34.2 | 18 |
| 48.8 | 14 |
| 15.8 | 13 |
| 69.8 | 11 |
| 32.0 | 9 |
| 58.6 | 7 |
| 68.2 | 7 |
| 50.6 | 3 |
| 53.2 | 1 |

[11]
Computed PXRD pattern
Compound: Co2OsPt
Radiation: λ = 1.5418 Å (Cu Kα)
Structure: a DFT-relaxed cell (PBE, Alexandria)

Structure:
```
Co2OsPt
1.0
2.652 0.000 0.000
0.000 3.604 0.000
0.000 0.000 5.373
Co Os Pt
2 1 1
Direct
0.000 0.000 0.233 Co
0.000 0.000 0.767 Co
0.500 0.500 0.000 Os
0.500 0.500 0.500 Pt
```

Largest 10 diffraction maxima, most intense first, 2θ = 5–70°:
| 2θ (°) | I/Imax |
| --- | --- |
| 41.9 | 100 |
| 42.3 | 99 |
| 48.2 | 67 |
| 24.7 | 50 |
| 50.7 | 29 |
| 54.9 | 26 |
| 33.3 | 24 |
| 33.8 | 23 |
| 62.0 | 9 |
| 62.3 | 9 |

[12]
Computed PXRD pattern
Compound: Pu3Co8Os
Radiation: λ = 1.5418 Å (Cu Kα)
Structure: a DFT-relaxed cell (PBE, Alexandria)

Structure:
```
Pu3Co8Os
1.0
2.456 1.418 8.123
-2.456 1.418 8.123
0.000 -2.836 8.123
Pu Co Os
3 8 1
Direct
0.000 0.000 0.000 Pu
0.128 0.128 0.128 Pu
0.619 0.619 0.619 Pu
0.061 0.061 0.558 Co
0.061 0.558 0.061 Co
0.069 0.563 0.563 Co
0.312 0.312 0.312 Co
0.558 0.061 0.061 Co
0.563 0.069 0.563 Co
0.563 0.563 0.069 Co
0.812 0.812 0.812 Co
0.499 0.499 0.499 Os
```

Largest 12 diffraction maxima, most intense first, 2θ = 5–70°:
| 2θ (°) | I/Imax |
| --- | --- |
| 43.0 | 100 |
| 36.6 | 84 |
| 36.3 | 83 |
| 42.8 | 53 |
| 22.1 | 53 |
| 43.2 | 52 |
| 65.7 | 31 |
| 21.9 | 16 |
| 65.9 | 16 |
| 45.2 | 15 |
| 65.0 | 15 |
| 69.8 | 11 |

[13]
Computed PXRD pattern
Compound: RbCoOs
Radiation: λ = 1.5418 Å (Cu Kα)
Structure: a DFT-relaxed cell (PBE, Alexandria)

Structure:
```
RbCoOs
1.0
6.442 -2.123 0.000
6.442 2.123 0.000
-0.110 0.000 4.963
Rb Co Os
2 2 2
Direct
0.000 0.000 0.000 Rb
0.557 0.557 0.503 Rb
0.275 0.275 0.231 Co
0.754 0.754 0.017 Co
0.277 0.277 0.745 Os
0.809 0.809 0.495 Os
```

Largest 12 diffraction maxima, most intense first, 2θ = 5–70°:
| 2θ (°) | I/Imax |
| --- | --- |
| 13.8 | 100 |
| 27.7 | 62 |
| 42.6 | 58 |
| 34.5 | 39 |
| 42.9 | 32 |
| 28.6 | 29 |
| 55.2 | 24 |
| 51.6 | 22 |
| 33.5 | 19 |
| 56.4 | 16 |
| 17.9 | 14 |
| 47.0 | 13 |

[14]
Computed PXRD pattern
Compound: RbCoOs2
Radiation: λ = 1.5418 Å (Cu Kα)
Structure: a DFT-relaxed cell (PBE, Alexandria)

Structure:
```
RbCoOs2
1.0
-2.479 2.479 8.162
2.479 -2.479 8.162
2.479 2.479 -8.162
Rb Co Os
2 2 4
Direct
0.375 0.625 0.750 Rb
0.625 0.375 0.250 Rb
0.125 0.875 0.250 Co
0.875 0.125 0.750 Co
0.000 0.000 0.000 Os
0.000 0.000 0.500 Os
0.000 0.500 0.000 Os
0.500 0.000 0.500 Os
```

Largest 12 diffraction maxima, most intense first, 2θ = 5–70°:
| 2θ (°) | I/Imax |
| --- | --- |
| 18.7 | 100 |
| 37.9 | 83 |
| 24.3 | 78 |
| 49.7 | 55 |
| 57.2 | 49 |
| 41.1 | 40 |
| 32.8 | 36 |
| 27.7 | 31 |
| 21.8 | 30 |
| 44.4 | 26 |
| 44.1 | 23 |
| 57.3 | 15 |

[15]
Computed PXRD pattern
Compound: CoOs2Rh6
Radiation: λ = 1.5418 Å (Cu Kα)
Structure: a DFT-relaxed cell (PBE, Alexandria)

Structure:
```
CoOs2Rh6
1.0
0.000 5.720 5.723
1.904 0.000 5.723
1.904 5.720 0.000
Co Os Rh
1 2 6
Direct
0.000 0.000 0.000 Co
0.330 0.330 0.670 Os
0.670 0.670 0.330 Os
0.004 0.327 0.673 Rh
0.327 0.004 0.996 Rh
0.339 0.661 0.339 Rh
0.661 0.339 0.661 Rh
0.673 0.996 0.004 Rh
0.996 0.673 0.327 Rh
```

Largest 12 diffraction maxima, most intense first, 2θ = 5–70°:
| 2θ (°) | I/Imax |
| --- | --- |
| 41.0 | 100 |
| 47.7 | 48 |
| 69.8 | 30 |
| 15.5 | 9 |
| 25.9 | 4 |
| 22.0 | 4 |
| 34.2 | 4 |
| 52.5 | 3 |
| 47.0 | 2 |
| 50.5 | 2 |
| 35.1 | 2 |
| 62.3 | 1 |